Ag2Au2I7: simulated powder diffraction line list (Cu Kα), based on a cell relaxed with GGA-PBE.

```
data_Ag2Au2I7
_chemical_formula_sum 'Ag8 Au8 I28'
_cell_length_a 10.790
_cell_length_b 12.049
_cell_length_c 14.733
_cell_angle_alpha 90.00
_cell_angle_beta 109.92
_cell_angle_gamma 90.00
_space_group_name_H-M_alt 'C 1 2/c 1'
_space_group_IT_number 15
_space_group_name_Hall '-C 2yc'
loop_
_atom_site_label
_atom_site_type_symbol
_atom_site_fract_x
_atom_site_fract_y
_atom_site_fract_z
Ag1 Ag 0.173 0.081 0.468
Au1 Au 0.202 0.240 0.808
I1 I 0.000 0.380 0.750
I2 I 0.112 0.097 0.074
I3 I 0.167 0.435 0.105
I4 I 0.219 0.265 0.366
```

Peak list (10 most intense, 2θ = 5–70°, low angle first)
2θ 17.5, rel. 81, hkl 2 0 0
2θ 19.3, rel. 47, hkl 1 1 2
2θ 19.5, rel. 81, hkl 0 2 2
2θ 19.6, rel. 100, hkl 1 1 -3
2θ 25.7, rel. 59, hkl 2 0 -4
2θ 29.2, rel. 67, hkl 2 2 2
2θ 33.5, rel. 38, hkl 3 3 -1
2θ 37.9, rel. 58, hkl 1 3 -5
2θ 39.2, rel. 55, hkl 2 4 2
2θ 43.0, rel. 37, hkl 4 0 -6